(1)
The following is a calculated X-ray diffraction stick pattern of Nd6Dy2Al. It was derived from a cell relaxed with GGA-PBE, using copper Kα.

Most intense lines, 2θ from 10° to 90°, low angle first:
2θ 25.2, I = 181; 2θ 30.6, I = 1000; 2θ 31.1, I = 321; 2θ 31.8, I = 699; 2θ 32.8, I = 387; 2θ 36.8, I = 168; 2θ 45.8, I = 220; 2θ 57.1, I = 171; 2θ 58.8, I = 205; 2θ 64.4, I = 154

Structural model:
Unit cell a=10.3690 b=10.3777 c=5.4660 alpha=90.00 beta=90.00 gamma=90.00
Atoms (fractional coordinates):
Nd 0.0400 0.1876 0.0000
Nd 0.1235 0.6224 0.5000
Nd 0.1876 0.9583 0.5000
Nd 0.3124 0.4583 0.0000
Nd 0.3765 0.1224 0.0000
Nd 0.4600 0.6876 0.5000
Nd 0.5400 0.3124 0.5000
Nd 0.6235 0.8776 0.0000
Nd 0.6876 0.5417 0.0000
Nd 0.8124 0.0417 0.5000
Nd 0.8765 0.3776 0.5000
Nd 0.9600 0.8124 0.0000
Dy 0.2149 0.2836 0.5000
Dy 0.2851 0.7836 0.0000
Dy 0.7149 0.2164 0.0000
Dy 0.7851 0.7164 0.5000
Al 0.0000 0.5000 0.0000
Al 0.5000 0.0000 0.5000

---

(2)
The following is a calculated X-ray diffraction stick pattern of Dy2Al2Ni15. It was derived from a cell relaxed with GGA-PBE, using copper Kα.

Most intense lines, 2θ from 10° to 90°, low angle first:
2θ 30.7, I = 242; 2θ 37.6, I = 204; 2θ 38.5, I = 185; 2θ 43.8, I = 1000; 2θ 44.1, I = 225; 2θ 44.5, I = 143; 2θ 49.3, I = 142; 2θ 63.8, I = 115; 2θ 72.2, I = 104; 2θ 80.9, I = 122

Structural model:
Unit cell a=6.3040 b=6.3040 c=6.3040 alpha=82.12 beta=82.12 gamma=82.12
Atoms (fractional coordinates):
Dy 0.1503 0.1503 0.1503
Dy 0.8497 0.8497 0.8497
Al 0.3971 0.3971 0.3971
Al 0.6029 0.6029 0.6029
Ni 0.0000 0.5000 0.5000
Ni 0.1548 0.1548 0.6512
Ni 0.1548 0.6512 0.1548
Ni 0.2055 0.5000 0.7945
Ni 0.2055 0.7945 0.5000
Ni 0.3488 0.8452 0.8452
Ni 0.5000 0.0000 0.5000
Ni 0.5000 0.2055 0.7945
Ni 0.5000 0.5000 0.0000
Ni 0.5000 0.7945 0.2055
Ni 0.6512 0.1548 0.1548
Ni 0.7945 0.2055 0.5000
Ni 0.7945 0.5000 0.2055
Ni 0.8452 0.3488 0.8452
Ni 0.8452 0.8452 0.3488

---

(3)
The following is a calculated X-ray diffraction stick pattern of DyAl4Ni4. It was derived from a cell relaxed with GGA-PBE, using copper Kα.

Most intense lines, 2θ from 10° to 90°, low angle first:
2θ 22.9, I = 789; 2θ 31.0, I = 617; 2θ 31.8, I = 1000; 2θ 34.7, I = 937; 2θ 40.9, I = 472; 2θ 45.0, I = 527; 2θ 50.5, I = 708; 2θ 52.2, I = 277; 2θ 54.7, I = 497; 2θ 81.4, I = 184

Structural model:
Unit cell a=6.1824 b=6.1824 c=6.1824 alpha=97.31 beta=97.31 gamma=138.20
Atoms (fractional coordinates):
Dy 0.0000 0.0000 0.0000
Al 0.1181 0.6052 0.7234
Al 0.3948 0.1181 0.5129
Al 0.6052 0.8819 0.4871
Al 0.8819 0.3948 0.2766
Ni 0.1850 0.3111 0.4961
Ni 0.3111 0.8150 0.1261
Ni 0.6889 0.1850 0.8739
Ni 0.8150 0.6889 0.5039

---

(4)
The following is a calculated X-ray diffraction stick pattern of DyAl2Ni9. It was derived from a cell relaxed with GGA-PBE, using copper Kα.

Most intense lines, 2θ from 10° to 90°, low angle first:
2θ 24.5, I = 297; 2θ 36.9, I = 391; 2θ 40.3, I = 1000; 2θ 44.6, I = 450; 2θ 44.9, I = 196; 2θ 46.1, I = 507; 2θ 46.5, I = 477; 2θ 50.7, I = 232; 2θ 87.0, I = 195; 2θ 88.3, I = 178

Structural model:
Unit cell a=8.0494 b=8.0494 c=4.7107 alpha=90.00 beta=90.00 gamma=90.00
Atoms (fractional coordinates):
Dy 0.0000 0.0000 0.0000
Dy 0.5000 0.5000 0.0000
Al 0.1206 0.3794 0.0000
Al 0.3794 0.8794 0.0000
Al 0.6206 0.1206 0.0000
Al 0.8794 0.6206 0.0000
Ni 0.0000 0.5000 0.5000
Ni 0.0648 0.2095 0.5000
Ni 0.1774 0.6774 0.2401
Ni 0.1774 0.6774 0.7599
Ni 0.2095 0.9352 0.5000
Ni 0.2905 0.4352 0.5000
Ni 0.3226 0.1774 0.2401
Ni 0.3226 0.1774 0.7599
Ni 0.4352 0.7095 0.5000
Ni 0.5000 0.0000 0.5000
Ni 0.5648 0.2905 0.5000
Ni 0.6774 0.8226 0.2401
Ni 0.6774 0.8226 0.7599
Ni 0.7095 0.5648 0.5000
Ni 0.7905 0.0648 0.5000
Ni 0.8226 0.3226 0.2401
Ni 0.8226 0.3226 0.7599
Ni 0.9352 0.7905 0.5000